The following is a theoretical PXRD pattern of V2Ir4Rh. It was derived from the PBE geometry in Alexandria, using Cu Ka.
Intensities are scaled so that the largest is 100.

Peak list (10 most intense, 5 to 70 degrees two-theta, by angle)
| d [Å] | Position (°2θ) | I (rel.) |
| --- | --- | --- |
| 4.397 | 20.20 | 22 |
| 4.371 | 20.32 | 86 |
| 2.529 | 35.50 | 24 |
| 2.321 | 38.80 | 64 |
| 2.231 | 40.44 | 45 |
| 2.220 | 40.63 | 100 |
| 2.161 | 41.79 | 77 |
| 2.051 | 44.16 | 90 |
| 1.987 | 45.66 | 87 |
| 1.977 | 45.90 | 36 |

Atomic structure:
Cell: 5.087 8.742 4.641 Å, 90.00 90.00 90.00°
Positions (direct):
V: 0.000 0.000 0.240
V: 0.000 0.000 0.760
V: 0.500 0.500 0.240
V: 0.500 0.500 0.760
Ir: 0.052 0.321 0.000
Ir: 0.190 0.769 0.500
Ir: 0.310 0.269 0.500
Ir: 0.448 0.821 0.000
Ir: 0.552 0.179 0.000
Ir: 0.690 0.731 0.500
Ir: 0.810 0.231 0.500
Ir: 0.948 0.679 0.000
Rh: 0.000 0.500 0.500
Rh: 0.500 0.000 0.500

---

The following is a theoretical PXRD pattern of Li2DyGa4. It was derived from the PBE geometry in Alexandria, using Cu Ka.
Intensities are scaled so that the largest is 100.

Peak list (10 most intense, 5 to 70 degrees two-theta, by angle)
| d [Å] | Position (°2θ) | I (rel.) |
| --- | --- | --- |
| 9.088 | 9.73 | 100 |
| 2.963 | 30.16 | 29 |
| 2.791 | 32.07 | 22 |
| 2.569 | 34.92 | 51 |
| 2.482 | 36.19 | 17 |
| 2.308 | 39.03 | 22 |
| 2.230 | 40.44 | 38 |
| 2.178 | 41.47 | 18 |
| 1.755 | 52.12 | 12 |
| 1.351 | 69.57 | 15 |

Atomic structure:
Cell: 3.397 4.355 18.176 Å, 90.00 90.00 90.00°
Positions (direct):
Li: 0.000 0.000 0.199
Li: 0.000 0.000 0.801
Li: 0.500 0.500 0.301
Li: 0.500 0.500 0.699
Dy: 0.000 0.500 0.000
Dy: 0.500 0.000 0.500
Ga: 0.000 0.000 0.349
Ga: 0.000 0.000 0.651
Ga: 0.000 0.500 0.427
Ga: 0.000 0.500 0.573
Ga: 0.500 0.000 0.073
Ga: 0.500 0.000 0.927
Ga: 0.500 0.500 0.151
Ga: 0.500 0.500 0.849

---

The following is a theoretical PXRD pattern of LaTc5P3. It was derived from the PBE geometry in Alexandria, using Cu Ka.
Intensities are scaled so that the largest is 100.

Peak list (10 most intense, 5 to 70 degrees two-theta, by angle)
| d [Å] | Position (°2θ) | I (rel.) |
| --- | --- | --- |
| 3.298 | 27.03 | 38 |
| 3.067 | 29.11 | 31 |
| 2.924 | 30.58 | 81 |
| 2.724 | 32.88 | 100 |
| 2.610 | 34.37 | 45 |
| 2.454 | 36.62 | 27 |
| 2.312 | 38.96 | 87 |
| 2.153 | 41.97 | 39 |
| 2.018 | 44.92 | 91 |
| 1.846 | 49.38 | 31 |

Atomic structure:
Cell: 6.675 6.675 11.571 Å, 90.00 90.00 144.81°
Positions (direct):
La: 0.173 0.827 0.750
La: 0.827 0.173 0.250
Tc: 0.000 0.000 0.000
Tc: 0.000 0.000 0.500
Tc: 0.193 0.807 0.062
Tc: 0.193 0.807 0.438
Tc: 0.458 0.542 0.646
Tc: 0.458 0.542 0.854
Tc: 0.542 0.458 0.146
Tc: 0.542 0.458 0.354
Tc: 0.807 0.193 0.562
Tc: 0.807 0.193 0.938
P: 0.124 0.876 0.250
P: 0.374 0.626 0.047
P: 0.374 0.626 0.453
P: 0.626 0.374 0.547
P: 0.626 0.374 0.953
P: 0.876 0.124 0.750

---

The following is a theoretical PXRD pattern of AcZnPd6Au. It was derived from the PBE geometry in Alexandria, using Cu Ka.
Intensities are scaled so that the largest is 100.

Peak list (10 most intense, 5 to 70 degrees two-theta, by angle)
| d [Å] | Position (°2θ) | I (rel.) |
| --- | --- | --- |
| 3.695 | 24.08 | 22 |
| 3.364 | 26.50 | 36 |
| 2.992 | 29.86 | 83 |
| 2.695 | 33.25 | 57 |
| 2.582 | 34.75 | 53 |
| 2.501 | 35.91 | 24 |
| 2.375 | 37.89 | 84 |
| 2.234 | 40.37 | 31 |
| 2.047 | 44.25 | 27 |
| 1.987 | 45.66 | 100 |

Atomic structure:
Cell: 8.238 8.238 8.238 Å, 133.20 109.59 88.87°
Positions (direct):
Ac: 0.421 0.171 0.250
Ac: 0.579 0.829 0.750
Zn: 0.000 0.500 0.500
Zn: 0.500 0.500 0.000
Pd: 0.126 0.345 0.209
Pd: 0.126 0.917 0.781
Pd: 0.184 0.934 0.250
Pd: 0.335 0.585 0.750
Pd: 0.364 0.083 0.709
Pd: 0.364 0.655 0.281
Pd: 0.636 0.345 0.719
Pd: 0.636 0.917 0.291
Pd: 0.665 0.415 0.250
Pd: 0.816 0.066 0.750
Pd: 0.874 0.083 0.219
Pd: 0.874 0.655 0.791
Au: 0.000 0.000 0.500
Au: 0.000 0.500 0.000

---

The following is a theoretical PXRD pattern of Tb6Y5Th. It was derived from the PBE geometry in Alexandria, using Cu Ka.
Intensities are scaled so that the largest is 100.

Peak list (10 most intense, 5 to 70 degrees two-theta, by angle)
| d [Å] | Position (°2θ) | I (rel.) |
| --- | --- | --- |
| 8.409 | 10.52 | 4 |
| 7.578 | 11.68 | 2 |
| 5.054 | 17.55 | 2 |
| 4.516 | 19.66 | 2 |
| 3.569 | 24.95 | 2 |
| 2.915 | 30.67 | 100 |
| 2.525 | 35.56 | 50 |
| 1.785 | 51.16 | 36 |
| 1.523 | 60.84 | 42 |
| 1.458 | 63.86 | 12 |

Atomic structure:
Cell: 9.451 9.451 9.451 Å, 149.05 115.35 73.40°
Positions (direct):
Tb: 0.084 0.335 0.749
Tb: 0.247 0.000 0.247
Tb: 0.414 0.665 0.749
Tb: 0.586 0.335 0.251
Tb: 0.753 0.000 0.753
Tb: 0.916 0.665 0.251
Y: 0.165 0.165 0.000
Y: 0.333 0.833 0.500
Y: 0.500 0.500 0.000
Y: 0.667 0.167 0.500
Y: 0.835 0.835 0.000
Th: 0.000 0.500 0.500

---

The following is a theoretical PXRD pattern of Y3Zn. It was derived from the PBE geometry in Alexandria, using Cu Ka.
Intensities are scaled so that the largest is 100.

Peak list (10 most intense, 5 to 70 degrees two-theta, by angle)
| d [Å] | Position (°2θ) | I (rel.) |
| --- | --- | --- |
| 2.971 | 30.08 | 86 |
| 2.924 | 30.58 | 34 |
| 2.852 | 31.36 | 79 |
| 2.838 | 31.53 | 100 |
| 2.752 | 32.54 | 46 |
| 2.727 | 32.84 | 29 |
| 2.607 | 34.40 | 41 |
| 2.556 | 35.11 | 43 |
| 2.493 | 36.02 | 33 |
| 1.670 | 54.98 | 37 |

Atomic structure:
Cell: 6.902 9.973 6.599 Å, 90.00 90.00 90.00°
Positions (direct):
Y: 0.005 0.250 0.122
Y: 0.192 0.049 0.686
Y: 0.192 0.451 0.686
Y: 0.308 0.549 0.186
Y: 0.308 0.951 0.186
Y: 0.495 0.750 0.622
Y: 0.505 0.250 0.378
Y: 0.692 0.049 0.814
Y: 0.692 0.451 0.814
Y: 0.808 0.549 0.314
Y: 0.808 0.951 0.314
Y: 0.995 0.750 0.878
Zn: 0.094 0.750 0.446
Zn: 0.406 0.250 0.946
Zn: 0.594 0.750 0.054
Zn: 0.906 0.250 0.554